Simulated XRD peak list
Compound: Ni6SnTe2
Radiation: Cu Kα
Structure: a cell relaxed with PBE

Crystal structure
```
data_Ni6SnTe2
_cell_length_a 3.795
_cell_length_b 3.795
_cell_length_c 19.363
_cell_angle_alpha 90.00
_cell_angle_beta 90.00
_cell_angle_gamma 90.00
_space_group_name_H-M_alt 'I 4 m m'
_space_group_IT_number 107
_space_group_name_Hall 'I 4 -2'
loop_
_atom_site_label
_atom_site_type_symbol
_atom_site_fract_x
_atom_site_fract_y
_atom_site_fract_z
Ni1 Ni 0.000 0.000 0.000
Ni2 Ni 0.000 0.000 0.308
Ni3 Ni 0.000 0.500 0.094
Ni4 Ni 0.000 0.500 0.405
Sn1 Sn 0.000 0.000 0.499
Te1 Te 0.000 0.000 0.178
Te2 Te 0.000 0.000 0.815
```

Peak list (10 most intense, 2θ from 10° to 80°, by intensity)
43.88 deg, d = 2.063 Å, I 100
47.94 deg, d = 1.897 Å, I 49
27.26 deg, d = 3.271 Å, I 44
38.35 deg, d = 2.347 Å, I 40
69.34 deg, d = 1.355 Å, I 18
46.93 deg, d = 1.936 Å, I 15
70.14 deg, d = 1.342 Å, I 15
33.39 deg, d = 2.683 Å, I 13
56.03 deg, d = 1.641 Å, I 13
77.68 deg, d = 1.229 Å, I 9

***

Simulated XRD peak list
Compound: Sr2Eu3Ge10
Radiation: Cu Kα
Structure: a cell relaxed with PBE

Crystal structure
```
data_Sr2Eu3Ge10
_cell_length_a 4.2023
_cell_length_b 4.2023
_cell_length_c 24.9301
_cell_angle_alpha 90.00
_cell_angle_beta 90.00
_cell_angle_gamma 120.00
_space_group_name_H-M_alt 'P -3 m 1'
_space_group_IT_number 164
_space_group_name_Hall '-P 3 2"'
loop_
_atom_site_label
_atom_site_type_symbol
_atom_site_fract_x
_atom_site_fract_y
_atom_site_fract_z
Sr1 Sr 0.0000 0.0000 0.1005
Eu1 Eu 0.0000 0.0000 0.3003
Eu2 Eu 0.0000 0.0000 0.5000
Ge1 Ge 0.3333 0.6667 0.0195
Ge2 Ge 0.3333 0.6667 0.2214
Ge3 Ge 0.3333 0.6667 0.4198
Ge4 Ge 0.3333 0.6667 0.6197
Ge5 Ge 0.3333 0.6667 0.8176
```

Peak list (10 most intense, 2θ from 10° to 80°, by intensity)
30.41 deg, d = 2.940 Å, I 100
43.05 deg, d = 2.101 Å, I 36
44.03 deg, d = 2.057 Å, I 22
53.62 deg, d = 1.709 Å, I 20
71.10 deg, d = 1.326 Å, I 17
57.35 deg, d = 1.607 Å, I 12
61.32 deg, d = 1.512 Å, I 9
36.03 deg, d = 2.493 Å, I 8
79.60 deg, d = 1.204 Å, I 8
63.27 deg, d = 1.470 Å, I 7

***

Simulated XRD peak list
Compound: Mn4Cu
Radiation: Cu Kα
Structure: a cell relaxed with PBE

Crystal structure
```
data_Mn4Cu
_cell_length_a 2.4916
_cell_length_b 2.4916
_cell_length_c 31.0596
_cell_angle_alpha 90.00
_cell_angle_beta 90.00
_cell_angle_gamma 120.00
_space_group_name_H-M_alt 'R -3 m'
_space_group_IT_number 166
_space_group_name_Hall '-R 3 2"'
loop_
_atom_site_label
_atom_site_type_symbol
_atom_site_fract_x
_atom_site_fract_y
_atom_site_fract_z
Mn1 Mn 0.0000 0.0000 0.0963
Mn2 Mn 0.0000 0.0000 0.2990
Cu1 Cu 0.0000 0.0000 0.5000
```

Peak list (10 most intense, 2θ from 10° to 80°, by intensity)
44.45 deg, d = 2.038 Å, I 100
51.57 deg, d = 1.772 Å, I 61
43.72 deg, d = 2.071 Å, I 34
76.46 deg, d = 1.246 Å, I 17
75.41 deg, d = 1.260 Å, I 17
25.82 deg, d = 3.451 Å, I 2
34.66 deg, d = 2.588 Å, I 1
59.79 deg, d = 1.547 Å, I 1
72.55 deg, d = 1.303 Å, I 1
46.82 deg, d = 1.940 Å, I 1

***

Simulated XRD peak list
Compound: CaSiH2O4
Radiation: Cu Kα
Structure: a cell relaxed with PBE

Crystal structure
```
data_CaSiH2O4
_cell_length_a 18.790
_cell_length_b 24.762
_cell_length_c 3.604
_cell_angle_alpha 90.00
_cell_angle_beta 90.00
_cell_angle_gamma 90.00
_space_group_name_H-M_alt 'F d d 2'
_space_group_IT_number 43
_space_group_name_Hall 'F 2 -2d'
loop_
_atom_site_label
_atom_site_type_symbol
_atom_site_fract_x
_atom_site_fract_y
_atom_site_fract_z
Ca1 Ca 0.120 0.043 0.000
Si1 Si 0.000 0.118 0.463
H1 H 0.053 0.209 0.712
H2 H 0.113 0.448 0.986
O1 O 0.000 0.000 0.564
O2 O 0.000 0.000 0.931
O3 O 0.016 0.322 0.120
O4 O 0.082 0.098 0.494
O5 O 0.102 0.228 0.754
```

Peak list (10 most intense, 2θ from 10° to 80°, by intensity)
17.15 deg, d = 5.169 Å, I 100
31.06 deg, d = 2.880 Å, I 64
23.78 deg, d = 3.742 Å, I 51
27.42 deg, d = 3.253 Å, I 50
34.69 deg, d = 2.586 Å, I 41
38.32 deg, d = 2.349 Å, I 36
28.81 deg, d = 3.099 Å, I 28
38.45 deg, d = 2.341 Å, I 27
35.89 deg, d = 2.502 Å, I 25
41.57 deg, d = 2.172 Å, I 22

***

Simulated XRD peak list
Compound: KSbPO4F2
Radiation: Cu Kα
Structure: a cell relaxed with PBE

Crystal structure
```
data_KSbPO4F2
_cell_length_a 9.391
_cell_length_b 7.165
_cell_length_c 10.467
_cell_angle_alpha 90.00
_cell_angle_beta 116.32
_cell_angle_gamma 90.00
_space_group_name_H-M_alt 'P 1 21/c 1'
_space_group_IT_number 14
_space_group_name_Hall '-P 2ybc'
loop_
_atom_site_label
_atom_site_type_symbol
_atom_site_fract_x
_atom_site_fract_y
_atom_site_fract_z
K1 K 0.082 0.249 0.407
Sb1 Sb 0.316 0.750 0.495
P1 P 0.343 0.078 0.259
O1 O 0.268 0.232 0.734
O2 O 0.274 0.538 0.847
O3 O 0.294 0.522 0.611
O4 O 0.470 0.575 0.163
F1 F 0.134 0.617 0.340
F2 F 0.153 0.622 0.025
```

Peak list (10 most intense, 2θ from 10° to 80°, by intensity)
21.12 deg, d = 4.206 Å, I 100
24.59 deg, d = 3.620 Å, I 98
16.25 deg, d = 5.454 Å, I 84
28.44 deg, d = 3.138 Å, I 64
31.42 deg, d = 2.847 Å, I 37
46.28 deg, d = 1.962 Å, I 27
43.59 deg, d = 2.077 Å, I 26
21.21 deg, d = 4.189 Å, I 24
18.92 deg, d = 4.691 Å, I 23
24.85 deg, d = 3.582 Å, I 22

***

Simulated XRD peak list
Compound: DyGa3Ni
Radiation: Cu Kα
Structure: a cell relaxed with PBE

Crystal structure
```
data_DyGa3Ni
_cell_length_a 4.156
_cell_length_b 4.156
_cell_length_c 10.198
_cell_angle_alpha 90.00
_cell_angle_beta 90.00
_cell_angle_gamma 90.00
_space_group_name_H-M_alt 'I 4 m m'
_space_group_IT_number 107
_space_group_name_Hall 'I 4 -2'
loop_
_atom_site_label
_atom_site_type_symbol
_atom_site_fract_x
_atom_site_fract_y
_atom_site_fract_z
Dy1 Dy 0.000 0.000 0.000
Ga1 Ga 0.000 0.000 0.414
Ga2 Ga 0.000 0.500 0.249
Ni1 Ni 0.000 0.000 0.638
```

Peak list (10 most intense, 2θ from 10° to 80°, by intensity)
35.24 deg, d = 2.546 Å, I 100
34.07 deg, d = 2.631 Å, I 45
43.55 deg, d = 2.078 Å, I 45
63.25 deg, d = 1.470 Å, I 25
74.56 deg, d = 1.273 Å, I 24
49.81 deg, d = 1.831 Å, I 24
56.42 deg, d = 1.631 Å, I 21
68.26 deg, d = 1.374 Å, I 20
30.42 deg, d = 2.939 Å, I 14
57.19 deg, d = 1.611 Å, I 10

***

Simulated XRD peak list
Compound: SiSbPt
Radiation: Cu Kα
Structure: a cell relaxed with PBE

Crystal structure
```
data_SiSbPt
_cell_length_a 6.402
_cell_length_b 6.418
_cell_length_c 11.613
_cell_angle_alpha 90.00
_cell_angle_beta 90.00
_cell_angle_gamma 90.00
_space_group_name_H-M_alt 'P b c a'
_space_group_IT_number 61
_space_group_name_Hall '-P 2ac 2ab'
loop_
_atom_site_label
_atom_site_type_symbol
_atom_site_fract_x
_atom_site_fract_y
_atom_site_fract_z
Si1 Si 0.146 0.234 0.074
Sb1 Sb 0.117 0.506 0.827
Pt1 Pt 0.012 0.618 0.606
```

Peak list (10 most intense, 2θ from 10° to 80°, by intensity)
24.92 deg, d = 3.573 Å, I 100
27.86 deg, d = 3.203 Å, I 80
43.80 deg, d = 2.067 Å, I 75
47.51 deg, d = 1.914 Å, I 68
45.42 deg, d = 1.997 Å, I 67
32.19 deg, d = 2.781 Å, I 65
30.80 deg, d = 2.903 Å, I 63
21.04 deg, d = 4.222 Å, I 61
46.43 deg, d = 1.956 Å, I 49
28.86 deg, d = 3.093 Å, I 46

***

Simulated XRD peak list
Compound: K2Zr3OF12
Radiation: Cu Kα
Structure: a cell relaxed with PBE

Crystal structure
```
data_K2Zr3OF12
_cell_length_a 7.8177
_cell_length_b 7.8177
_cell_length_c 29.3590
_cell_angle_alpha 90.00
_cell_angle_beta 90.00
_cell_angle_gamma 120.00
_space_group_name_H-M_alt 'R -3 m'
_space_group_IT_number 166
_space_group_name_Hall '-R 3 2"'
loop_
_atom_site_label
_atom_site_type_symbol
_atom_site_fract_x
_atom_site_fract_y
_atom_site_fract_z
K1 K 0.0000 0.0000 0.0000
K2 K 0.0000 0.0000 0.1383
K3 K 0.0000 0.0000 0.5000
Zr1 Zr 0.0307 0.5153 0.9377
O1 O 0.0000 0.0000 0.2852
F1 F 0.0000 0.3500 0.0000
F2 F 0.0086 0.5043 0.5898
F3 F 0.0426 0.5213 0.8691
F4 F 0.1095 0.5548 0.2588
```

Peak list (10 most intense, 2θ from 10° to 80°, by intensity)
26.51 deg, d = 3.363 Å, I 100
46.44 deg, d = 1.955 Å, I 77
27.03 deg, d = 3.299 Å, I 58
18.13 deg, d = 4.893 Å, I 42
44.20 deg, d = 2.049 Å, I 38
14.41 deg, d = 6.148 Å, I 34
13.42 deg, d = 6.597 Å, I 34
43.13 deg, d = 2.097 Å, I 32
24.97 deg, d = 3.565 Å, I 30
54.75 deg, d = 1.677 Å, I 27

***

Simulated XRD peak list
Compound: Dy3Os
Radiation: Cu Kα
Structure: a cell relaxed with PBE

Crystal structure
```
data_Dy3Os
_cell_length_a 7.385
_cell_length_b 9.098
_cell_length_c 6.332
_cell_angle_alpha 90.00
_cell_angle_beta 90.00
_cell_angle_gamma 90.00
_space_group_name_H-M_alt 'P n m a'
_space_group_IT_number 62
_space_group_name_Hall '-P 2ac 2n'
loop_
_atom_site_label
_atom_site_type_symbol
_atom_site_fract_x
_atom_site_fract_y
_atom_site_fract_z
Dy1 Dy 0.039 0.250 0.132
Dy2 Dy 0.175 0.063 0.669
Os1 Os 0.117 0.750 0.461
```

Peak list (10 most intense, 2θ from 10° to 80°, by intensity)
32.30 deg, d = 2.771 Å, I 100
34.98 deg, d = 2.565 Å, I 86
34.34 deg, d = 2.612 Å, I 79
32.74 deg, d = 2.735 Å, I 74
31.20 deg, d = 2.867 Å, I 65
38.41 deg, d = 2.344 Å, I 54
49.17 deg, d = 1.853 Å, I 51
39.27 deg, d = 2.294 Å, I 47
29.68 deg, d = 3.010 Å, I 46
38.75 deg, d = 2.324 Å, I 42